Computed XRD peak list of MgMo6Se8 for Cu Kα (λ = 1.5418 Å), from DFT lattice parameters and positions (GGA-PBE).
Lines closer than 0.1° are merged.

Principal peaks in the range 15 to 90 degrees two-theta, sorted by position:
| two_theta | I (rel.) |
| --- | --- |
| 29.95 | 78 |
| 31.55 | 85 |
| 38.16 | 67 |
| 39.19 | 82 |
| 42.05 | 100 |
| 43.40 | 90 |
| 43.70 | 98 |
| 44.36 | 95 |
| 48.05 | 68 |
| 48.57 | 67 |

Structure:
```
MgMo6Se8
1.0
6.8235 0.0000 0.0000
-0.6620 6.8349 0.0000
-0.6312 -0.7756 13.6405
Mg Mo Se
2 12 16
Direct
0.0000 0.0000 0.0000 Mg
0.2207 0.8553 0.4583 Mg
0.3530 0.5480 0.1666 Mo
0.3785 0.5159 0.6701 Mo
0.5211 0.2423 0.2333 Mo
0.5590 0.2060 0.7359 Mo
0.5702 0.5874 0.3417 Mo
0.6015 0.5602 0.8417 Mo
0.6663 0.4213 0.0762 Mo
0.6905 0.3925 0.5810 Mo
0.7037 0.7691 0.1835 Mo
0.7389 0.7457 0.6888 Mo
0.8787 0.4683 0.2521 Mo
0.9156 0.4301 0.7530 Mo
0.0235 0.6104 0.5921 Se
0.2356 0.3808 0.3268 Se
0.2709 0.3385 0.8250 Se
0.3294 0.2165 0.0661 Se
0.3511 0.1830 0.5727 Se
0.3832 0.8729 0.2729 Se
0.4210 0.8396 0.7705 Se
0.5039 0.7260 0.0178 Se
0.5328 0.7109 0.5283 Se
0.7317 0.2753 0.3938 Se
0.7682 0.2465 0.8984 Se
0.8410 0.1407 0.1532 Se
0.8742 0.1123 0.6460 Se
0.8955 0.8067 0.3492 Se
0.9505 0.7623 0.8462 Se
0.9959 0.6381 0.0904 Se
```


Computed XRD peak list of Ho12AlCo6 for Cu Kα (λ = 1.5418 Å), from DFT lattice parameters and positions (GGA-PBE).
Lines closer than 0.1° are merged.

Principal peaks in the range 15 to 90 degrees two-theta, sorted by position:
| two_theta | I (rel.) |
| --- | --- |
| 26.34 | 15 |
| 29.52 | 46 |
| 32.41 | 52 |
| 35.09 | 100 |
| 37.60 | 20 |
| 48.51 | 21 |
| 56.04 | 41 |
| 59.55 | 37 |
| 69.45 | 20 |
| 87.74 | 19 |

Structure:
```
Ho12AlCo6
1.0
-4.7846 4.7846 4.7846
4.7846 -4.7846 4.7846
4.7846 4.7846 -4.7846
Ho Al Co
12 1 6
Direct
0.1077 0.8070 0.3007 Ho
0.1930 0.3007 0.4938 Ho
0.1930 0.6993 0.8923 Ho
0.3007 0.1077 0.8070 Ho
0.3007 0.4938 0.1930 Ho
0.4938 0.1930 0.3007 Ho
0.5062 0.8070 0.6993 Ho
0.6993 0.5062 0.8070 Ho
0.6993 0.8923 0.1930 Ho
0.8070 0.3007 0.1077 Ho
0.8070 0.6993 0.5062 Ho
0.8923 0.1930 0.6993 Ho
0.0000 0.0000 0.0000 Al
0.1139 0.6139 0.5000 Co
0.3861 0.5000 0.8861 Co
0.5000 0.1139 0.6139 Co
0.5000 0.8861 0.3861 Co
0.6139 0.5000 0.1139 Co
0.8861 0.3861 0.5000 Co
```